Structure and theoretical powder X-ray diffraction pattern of Cs2LiNp3S8 (a crystal structure in Alexandria, relaxed with PBE; a wavelength of 1.5418 Å).
No peak broadening, texture or thermal motion is included.

Principal peaks in the range 10 to 90 degrees two-theta, sorted by position:
2θ (°)  intensity
10.39  100
13.29  48
20.87  38
24.67  56
26.06  39
26.76  30
29.42  67
35.82  42
38.41  33
45.53  35

Structure:
a b c (Å): 9.6765 9.6765 9.6765
angles (deg): 48.63 48.63 48.63
Positions (direct):
Cs1 0.0000 0.0000 0.0000
Cs2 0.3529 0.3529 0.3529
Li1 0.8423 0.8423 0.8423
Np1 0.3537 0.3537 0.8502
Np2 0.3537 0.8502 0.3537
Np3 0.8502 0.3537 0.3537
S1 0.0818 0.0818 0.5562
S2 0.0818 0.5562 0.0818
S3 0.1316 0.1316 0.1316
S4 0.1483 0.6221 0.6221
S5 0.5562 0.0818 0.0818
S6 0.5751 0.5751 0.5751
S7 0.6221 0.1483 0.6221
S8 0.6221 0.6221 0.1483

Structure and theoretical powder X-ray diffraction pattern of Cs2LiP2O6 (a crystal structure in Alexandria, relaxed with PBE; a wavelength of 1.5418 Å).
No peak broadening, texture or thermal motion is included.

Principal peaks in the range 10 to 90 degrees two-theta, sorted by position:
2θ (°)  intensity
15.36  24
19.57  78
26.54  34
29.05  100
30.81  66
31.00  27
33.02  28
35.27  56
39.75  37
56.43  31

Structure:
a b c (Å): 6.7747 6.7747 6.7747
angles (deg): 53.97 53.97 53.97
Positions (direct):
Cs1 0.2238 0.2238 0.2238
Cs2 0.7762 0.7762 0.7762
Li1 0.0000 0.0000 0.0000
P1 0.4275 0.4275 0.4275
P2 0.5725 0.5725 0.5725
O1 0.2700 0.2700 0.6923
O2 0.2700 0.6923 0.2700
O3 0.3077 0.7300 0.7300
O4 0.6923 0.2700 0.2700
O5 0.7300 0.3077 0.7300
O6 0.7300 0.7300 0.3077